[1]
Structure and calculated powder diffraction line list of CeTl2AuS4 (a structure optimized by DFT (GGA-PBE); Cu Ka).

Main lines, sorted by position (2θ from 5° to 70°):
hkl, 2theta, I/Imax
2 0 0, 23.98, 535
1 1 2, 28.69, 1000
1 2 1, 29.28, 27
2 2 0, 34.17, 405
3 1 2, 45.20, 597
0 0 4, 47.03, 66
4 0 0, 49.10, 137
2 0 4, 53.47, 178
2 4 0, 55.36, 140
3 3 2, 57.86, 137
2 2 4, 59.41, 132
1 5 2, 68.94, 166

Structure:
Lattice parameters (Å, degrees): 7.4221 7.4221 7.7281 90.00 90.00 90.00
Space group I-4 (No. 82)
Unique sites:
Ce: 0.0000 0.0000 0.0000 (multiplicity 2)
Tl: 0.0000 0.0000 0.5000 (multiplicity 2)
Tl: 0.0000 0.5000 0.7500 (multiplicity 2)
Au: 0.0000 0.5000 0.2500 (multiplicity 2)
S: 0.1918 0.2404 0.1886 (multiplicity 8)


[2]
Structure and calculated powder diffraction line list of Ce2Sb3Au2 (a structure optimized by DFT (GGA-PBE); Cu Ka).

Main lines, sorted by position (2θ from 5° to 70°):
hkl, 2theta, I/Imax
0 1 1, 18.44, 142
1 0 1, 22.26, 206
1 1 2, 29.83, 1000
1 0 5, 32.31, 224
1 1 4, 34.18, 196
0 2 0, 36.10, 417
0 1 7, 38.00, 341
1 1 6, 40.50, 559
2 0 0, 44.33, 234
2 2 0, 58.44, 232
2 1 7, 59.77, 183
1 3 2, 61.08, 139

Structure:
Lattice parameters (Å, degrees): 4.0872 4.9765 18.8468 90.00 90.00 90.00
Space group Immm (No. 71)
Unique sites:
Ce: 0.0000 0.0000 0.1558 (multiplicity 4)
Sb: 0.0000 0.0000 0.3250 (multiplicity 4)
Sb: 0.0000 0.5000 0.5000 (multiplicity 2)
Au: 0.0000 0.5000 0.0690 (multiplicity 4)


[3]
Structure and calculated powder diffraction line list of Ce3Sb3Au2 (a structure optimized by DFT (GGA-PBE); Cu Ka).

Main lines, sorted by position (2θ from 5° to 70°):
hkl, 2theta, I/Imax
0 0 2, 7.43, 465
1 0 4, 26.73, 129
1 0 5, 29.04, 786
1 0 6, 31.66, 626
1 1 0, 38.72, 1000
1 0 10, 44.20, 343
2 0 5, 49.12, 182
2 0 6, 50.85, 168
2 0 10, 60.19, 137
1 1 12, 61.44, 150
2 1 5, 64.24, 161
2 1 6, 65.70, 156

Structure:
Lattice parameters (Å, degrees): 4.6506 4.6506 23.8008 90.00 90.00 120.00
Space group P6_3/mmc (No. 194)
Unique sites:
Ce: 0.3333 0.6667 0.0746 (multiplicity 4)
Ce: 0.3333 0.6667 0.2500 (multiplicity 2)
Sb: 0.0000 0.0000 0.0000 (multiplicity 2)
Sb: 0.3333 0.6667 0.6526 (multiplicity 4)
Au: 0.0000 0.0000 0.1871 (multiplicity 4)


[4]
Structure and calculated powder diffraction line list of Ce5AuSe4 (a structure optimized by DFT (GGA-PBE); Cu Ka).

Main lines, sorted by position (2θ from 5° to 70°):
hkl, 2theta, I/Imax
0 0 2, 5.86, 114
0 0 4, 11.74, 31
1 0 1, 21.34, 38
1 0 5, 25.84, 63
0 0 10, 29.64, 545
1 1 0, 30.06, 1000
1 1 10, 42.72, 754
2 0 0, 43.03, 374
2 0 10, 53.12, 411
0 0 20, 61.52, 61
2 2 0, 62.49, 129
1 1 20, 69.98, 167

Structure:
Lattice parameters (Å, degrees): 4.2038 4.2038 30.1452 90.00 90.00 90.00
Space group I4/mmm (No. 139)
Unique sites:
Ce: 0.0000 0.0000 0.0000 (multiplicity 2)
Ce: 0.0000 0.0000 0.2000 (multiplicity 4)
Ce: 0.0000 0.0000 0.3963 (multiplicity 4)
Au: 0.0000 0.0000 0.5000 (multiplicity 2)
Se: 0.0000 0.0000 0.1005 (multiplicity 4)
Se: 0.0000 0.0000 0.2987 (multiplicity 4)